Entry 1:
Starting from a structure optimized by DFT (GGA-PBE), the powder diffraction line list of La4Tb3Sm4 was computed for Cu Kα.

Main lines, low angle first (2θ from 10° to 90°):
- 2θ = 30.02°, intensity 36
- 2θ = 30.55°, intensity 18
- 2θ = 30.80°, intensity 40
- 2θ = 31.58°, intensity 100
- 2θ = 33.02°, intensity 14
- 2θ = 43.94°, intensity 13
- 2θ = 51.76°, intensity 12
- 2θ = 55.27°, intensity 29
- 2θ = 61.34°, intensity 15
- 2θ = 61.46°, intensity 14

Structure:
```
La4Tb3Sm4
1.0
10.851 0.000 0.000
0.000 2.903 6.077
0.000 -2.903 6.077
La Tb Sm
4 3 4
direct
0.000 0.000 0.000
0.202 0.804 0.804
0.500 0.927 0.927
0.798 0.804 0.804
0.000 0.295 0.295
0.290 0.454 0.454
0.710 0.454 0.454
0.000 0.590 0.590
0.304 0.149 0.149
0.500 0.651 0.651
0.696 0.149 0.149
```

---

Entry 2:
Starting from a structure optimized by DFT (GGA-PBE), the powder diffraction line list of Sm2ZnAu was computed for Cu Kα.

Main lines, low angle first (2θ from 10° to 90°):
- 2θ = 19.21°, intensity 5
- 2θ = 34.64°, intensity 100
- 2θ = 34.75°, intensity 20
- 2θ = 49.71°, intensity 7
- 2θ = 49.89°, intensity 14
- 2θ = 62.07°, intensity 29
- 2θ = 62.23°, intensity 15
- 2θ = 73.09°, intensity 11
- 2θ = 83.33°, intensity 7
- 2θ = 83.59°, intensity 9

Structure:
```
Sm2ZnAu
1.0
5.163 0.000 0.000
0.000 3.668 0.000
0.000 0.000 10.356
Sm Zn Au
4 2 2
direct
0.250 0.000 0.124
0.250 0.000 0.625
0.750 0.000 0.375
0.750 0.000 0.876
0.250 0.500 0.383
0.750 0.500 0.617
0.250 0.500 0.868
0.750 0.500 0.132
```

---

Entry 3:
Starting from a structure optimized by DFT (GGA-PBE), the powder diffraction line list of B7C5 was computed for Cu Kα.

Main lines, low angle first (2θ from 10° to 90°):
- 2θ = 11.46°, intensity 100
- 2θ = 17.22°, intensity 40
- 2θ = 23.03°, intensity 29
- 2θ = 40.89°, intensity 16
- 2θ = 41.23°, intensity 96
- 2θ = 43.35°, intensity 15
- 2θ = 47.06°, intensity 8
- 2θ = 68.37°, intensity 16
- 2θ = 71.58°, intensity 28
- 2θ = 74.10°, intensity 8

Structure:
```
B7C5
1.0
2.637 0.000 0.000
-1.318 2.283 0.000
0.000 0.000 15.449
B C
7 5
direct
0.000 0.000 0.000
0.000 0.000 0.108
0.000 0.000 0.453
0.333 0.667 0.175
0.333 0.667 0.572
0.333 0.667 0.822
0.667 0.333 0.933
0.000 0.000 0.561
0.333 0.667 0.277
0.667 0.333 0.313
0.667 0.333 0.410
0.667 0.333 0.831
```

---

Entry 4:
Starting from a structure optimized by DFT (GGA-PBE), the powder diffraction line list of DyPu3Tc3 was computed for Cu Kα.

Main lines, low angle first (2θ from 10° to 90°):
- 2θ = 17.68°, intensity 24
- 2θ = 25.10°, intensity 42
- 2θ = 28.12°, intensity 35
- 2θ = 30.87°, intensity 100
- 2θ = 44.22°, intensity 37
- 2θ = 47.98°, intensity 60
- 2θ = 51.52°, intensity 34
- 2θ = 73.04°, intensity 17
- 2θ = 75.85°, intensity 22
- 2θ = 84.10°, intensity 18

Structure:
```
DyPu3Tc3
1.0
7.095 0.000 0.000
0.000 7.095 0.000
0.000 0.000 7.095
Dy Pu Tc
2 6 6
direct
0.000 0.000 0.000
0.500 0.500 0.500
0.000 0.250 0.500
0.000 0.750 0.500
0.250 0.500 0.000
0.500 0.000 0.250
0.500 0.000 0.750
0.750 0.500 0.000
0.000 0.500 0.250
0.000 0.500 0.750
0.250 0.000 0.500
0.500 0.250 0.000
0.500 0.750 0.000
0.750 0.000 0.500
```

---

Entry 5:
Starting from a structure optimized by DFT (GGA-PBE), the powder diffraction line list of Pm8DyTm6 was computed for Cu Kα.

Main lines, low angle first (2θ from 10° to 90°):
- 2θ = 30.51°, intensity 29
- 2θ = 31.40°, intensity 100
- 2θ = 32.17°, intensity 31
- 2θ = 32.51°, intensity 13
- 2θ = 34.87°, intensity 13
- 2θ = 36.79°, intensity 13
- 2θ = 52.86°, intensity 10
- 2θ = 53.65°, intensity 8
- 2θ = 55.38°, intensity 11
- 2θ = 60.17°, intensity 8

Structure:
```
Pm8DyTm6
1.0
4.520 2.610 6.946
-4.520 2.610 6.946
0.000 -5.220 6.946
Pm Dy Tm
8 1 6
direct
0.078 0.078 0.078
0.216 0.252 0.612
0.252 0.612 0.216
0.388 0.784 0.748
0.612 0.216 0.252
0.748 0.388 0.784
0.784 0.748 0.388
0.922 0.922 0.922
0.500 0.500 0.500
0.039 0.748 0.597
0.252 0.403 0.961
0.403 0.961 0.252
0.597 0.039 0.748
0.748 0.597 0.039
0.961 0.252 0.403
```

---

Entry 6:
Starting from a structure optimized by DFT (GGA-PBE), the powder diffraction line list of Sr2BiPdO5 was computed for Cu Kα.

Main lines, low angle first (2θ from 10° to 90°):
- 2θ = 17.30°, intensity 43
- 2θ = 28.73°, intensity 50
- 2θ = 29.59°, intensity 53
- 2θ = 30.31°, intensity 72
- 2θ = 30.61°, intensity 100
- 2θ = 31.57°, intensity 70
- 2θ = 36.48°, intensity 41
- 2θ = 37.14°, intensity 74
- 2θ = 47.45°, intensity 30
- 2θ = 63.77°, intensity 30

Structure:
```
Sr2BiPdO5
1.0
1.829 -7.470 0.000
1.829 7.470 0.000
0.000 0.000 10.251
Sr Bi Pd O
4 2 2 10
direct
0.115 0.885 0.500
0.149 0.851 0.116
0.851 0.149 0.616
0.885 0.115 0.000
0.461 0.539 0.285
0.539 0.461 0.785
0.225 0.775 0.838
0.775 0.225 0.338
0.093 0.907 0.879
0.272 0.728 0.458
0.316 0.684 0.201
0.362 0.638 0.805
0.495 0.505 0.078
0.505 0.495 0.578
0.638 0.362 0.305
0.684 0.316 0.701
0.728 0.272 0.958
0.907 0.093 0.379
```

---

Entry 7:
Starting from a structure optimized by DFT (GGA-PBE), the powder diffraction line list of Cs4Rb2Cd2Au was computed for Cu Kα.

Main lines, low angle first (2θ from 10° to 90°):
- 2θ = 10.86°, intensity 40
- 2θ = 22.59°, intensity 18
- 2θ = 23.04°, intensity 18
- 2θ = 23.51°, intensity 100
- 2θ = 25.85°, intensity 28
- 2θ = 28.66°, intensity 24
- 2θ = 29.78°, intensity 16
- 2θ = 37.78°, intensity 17
- 2θ = 39.20°, intensity 16
- 2θ = 39.82°, intensity 15

Structure:
```
Cs4Rb2Cd2Au
1.0
8.065 -4.763 0.000
8.065 4.763 0.000
-1.720 0.000 7.720
Cs Rb Cd Au
4 2 2 1
direct
0.129 0.657 0.714
0.343 0.871 0.286
0.657 0.129 0.714
0.871 0.343 0.286
0.340 0.340 0.166
0.660 0.660 0.834
0.141 0.141 0.782
0.859 0.859 0.218
0.000 0.000 0.500
```

---

Entry 8:
Starting from a structure optimized by DFT (GGA-PBE), the powder diffraction line list of Sc2Ga2Ru was computed for Cu Kα.

Main lines, low angle first (2θ from 10° to 90°):
- 2θ = 17.14°, intensity 77
- 2θ = 34.82°, intensity 68
- 2θ = 36.14°, intensity 97
- 2θ = 37.37°, intensity 42
- 2θ = 40.76°, intensity 78
- 2θ = 40.84°, intensity 74
- 2θ = 41.80°, intensity 100
- 2θ = 43.29°, intensity 60
- 2θ = 45.15°, intensity 44
- 2θ = 70.70°, intensity 44

Structure:
```
Sc2Ga2Ru
1.0
5.211 -1.670 0.000
5.211 1.670 0.000
-3.928 0.000 10.451
Sc Ga Ru
4 4 2
direct
0.013 0.013 0.180
0.197 0.197 0.617
0.803 0.803 0.383
0.987 0.987 0.820
0.349 0.349 0.966
0.465 0.465 0.602
0.535 0.535 0.398
0.651 0.651 0.034
0.305 0.305 0.195
0.695 0.695 0.805
```

---

Entry 9:
Starting from a structure optimized by DFT (GGA-PBE), the powder diffraction line list of K2ZrNp3O12 was computed for Cu Kα.

Main lines, low angle first (2θ from 10° to 90°):
- 2θ = 13.78°, intensity 100
- 2θ = 14.27°, intensity 86
- 2θ = 26.48°, intensity 83
- 2θ = 26.74°, intensity 65
- 2θ = 27.77°, intensity 98
- 2θ = 28.76°, intensity 39
- 2θ = 32.47°, intensity 40
- 2θ = 45.92°, intensity 39
- 2θ = 47.22°, intensity 29
- 2θ = 55.09°, intensity 38

Structure:
```
K2ZrNp3O12
1.0
3.952 2.282 6.208
-3.952 2.282 6.208
0.000 -4.564 6.208
K Zr Np O
2 1 3 12
direct
0.161 0.161 0.161
0.839 0.839 0.839
0.500 0.500 0.500
0.000 0.500 0.500
0.500 0.000 0.500
0.500 0.500 0.000
0.179 0.566 0.566
0.184 0.184 0.559
0.184 0.559 0.184
0.434 0.434 0.821
0.434 0.821 0.434
0.441 0.816 0.816
0.559 0.184 0.184
0.566 0.179 0.566
0.566 0.566 0.179
0.816 0.441 0.816
0.816 0.816 0.441
0.821 0.434 0.434
```

---

Entry 10:
Starting from a structure optimized by DFT (GGA-PBE), the powder diffraction line list of Mo4OsRh was computed for Cu Kα.

Main lines, low angle first (2θ from 10° to 90°):
- 2θ = 24.59°, intensity 4
- 2θ = 35.05°, intensity 41
- 2θ = 41.35°, intensity 100
- 2θ = 43.28°, intensity 28
- 2θ = 62.87°, intensity 15
- 2θ = 67.17°, intensity 31
- 2θ = 74.06°, intensity 25
- 2θ = 84.64°, intensity 7
- 2θ = 88.55°, intensity 12
- 2θ = 89.84°, intensity 11

Structure:
```
Mo4OsRh
1.0
0.000 3.621 3.621
3.621 0.000 3.621
3.621 3.621 0.000
Mo Os Rh
4 1 1
direct
0.125 0.125 0.125
0.125 0.125 0.624
0.125 0.624 0.125
0.624 0.125 0.125
0.750 0.750 0.750
0.500 0.500 0.500
```

---

Entry 11:
Starting from a structure optimized by DFT (GGA-PBE), the powder diffraction line list of Al3Pt5 was computed for Cu Kα.

Main lines, low angle first (2θ from 10° to 90°):
- 2θ = 28.65°, intensity 40
- 2θ = 30.37°, intensity 72
- 2θ = 31.22°, intensity 33
- 2θ = 39.03°, intensity 89
- 2θ = 39.49°, intensity 100
- 2θ = 40.06°, intensity 81
- 2θ = 40.26°, intensity 68
- 2θ = 44.86°, intensity 64
- 2θ = 46.29°, intensity 42
- 2θ = 47.37°, intensity 44

Structure:
```
Al3Pt5
1.0
6.161 0.000 0.000
1.814 6.087 0.000
2.995 1.284 6.493
Al Pt
6 10
direct
0.038 0.230 0.419
0.206 0.060 0.020
0.276 0.515 0.813
0.724 0.485 0.187
0.794 0.940 0.980
0.962 0.770 0.581
0.073 0.665 0.155
0.221 0.946 0.685
0.307 0.417 0.476
0.389 0.847 0.296
0.440 0.285 0.096
0.560 0.715 0.904
0.611 0.153 0.704
0.693 0.583 0.524
0.779 0.054 0.315
0.927 0.335 0.845
```

---

Entry 12:
Starting from a structure optimized by DFT (GGA-PBE), the powder diffraction line list of CeDy2Tm5 was computed for Cu Kα.

Main lines, low angle first (2θ from 10° to 90°):
- 2θ = 31.30°, intensity 100
- 2θ = 36.23°, intensity 34
- 2θ = 36.43°, intensity 17
- 2θ = 52.18°, intensity 12
- 2θ = 52.32°, intensity 24
- 2θ = 62.12°, intensity 28
- 2θ = 62.38°, intensity 14
- 2θ = 65.30°, intensity 12
- 2θ = 85.36°, intensity 6
- 2θ = 85.59°, intensity 12

Structure:
```
CeDy2Tm5
1.0
7.012 0.000 0.000
0.000 7.012 0.000
0.000 0.000 9.865
Ce Dy Tm
2 4 10
direct
0.000 0.000 0.000
0.500 0.500 0.500
0.000 0.500 0.000
0.000 0.500 0.500
0.500 0.000 0.000
0.500 0.000 0.500
0.000 0.000 0.500
0.250 0.250 0.250
0.250 0.250 0.750
0.250 0.750 0.250
0.250 0.750 0.750
0.500 0.500 0.000
0.750 0.250 0.250
0.750 0.250 0.750
0.750 0.750 0.250
0.750 0.750 0.750
```